# LiVSn3P6O24
Computed PXRD pattern, Cu Kα, 1.54184 Å. Input: a structure optimized by DFT (GGA+U).
No peak broadening, texture or thermal motion is included.

Largest 10 diffraction maxima, low angle first, 10° ≤ 2θ ≤ 90°:
14.34 deg, rel. 50, (0 1 2)
19.89 deg, rel. 100, (1 0 4)
20.76 deg, rel. 70, (1 1 0)
23.98 deg, rel. 61, (1 1 3)
28.90 deg, rel. 63, (0 2 4)
31.84 deg, rel. 60, (2 -1 6)
35.85 deg, rel. 31, (3 -1 4)
36.36 deg, rel. 28, (3 0 0)
52.35 deg, rel. 26, (3 -1 10)
56.93 deg, rel. 21, (4 1 0)

Structural model:
```
data_LiVSn3P6O24
_cell_length_a 8.5591
_cell_length_b 8.5591
_cell_length_c 22.3630
_cell_angle_alpha 90.00
_cell_angle_beta 90.00
_cell_angle_gamma 120.00
_symmetry_space_group_name_H-M 'R 3'
_symmetry_Int_Tables_number 146
_symmetry_space_group_name_Hall 'R 3'
loop_
_atom_site_label
_atom_site_fract_x
_atom_site_fract_y
_atom_site_fract_z
Li1 0.0000 0.0000 0.0000
V1 0.0000 0.0000 0.1264
Sn1 0.0000 0.0000 0.3352
Sn2 0.0000 0.0000 0.6236
Sn3 0.0000 0.0000 0.8348
P1 0.0123 0.7171 0.7287
P2 0.0481 0.3803 0.8968
O1 0.0098 0.8046 0.7878
O2 0.0111 0.8342 0.0682
O3 0.0624 0.8429 0.3866
O4 0.0780 0.8501 0.6756
O5 0.1523 0.4847 0.8381
O6 0.1562 0.4676 0.5577
O7 0.1819 0.4446 0.9491
O8 0.1931 0.4413 0.2370
```